# GdEr2Mg3Cd3
Theoretical powder XRD pattern, a wavelength of 1.5418 Å. Input: a structure optimized by DFT (GGA-PBE).

```
data_GdEr2Mg3Cd3
_symmetry_space_group_name_H-M 'A m m 2'
_symmetry_Int_Tables_number 38
_cell_length_a 4.705
_cell_length_b 12.879
_cell_length_c 7.353
_cell_angle_alpha 90.00
_cell_angle_beta 90.00
_cell_angle_gamma 90.00
loop_
_symmetry_equiv_pos_as_xyz
'x,y,z'
'-x,-y,z'
'-x,y,z'
'x,-y,z'
'x,y+1/2,z+1/2'
'-x,-y+1/2,z+1/2'
'-x,y+1/2,z+1/2'
'x,-y+1/2,z+1/2'
loop_
_atom_site_label
_atom_site_fract_x
_atom_site_fract_y
_atom_site_fract_z
Gd1 0.000 0.000 0.000
Er1 0.000 0.213 0.364
Mg1 0.500 0.000 0.334
Mg2 0.500 0.120 0.695
Cd1 0.000 0.000 0.571
Cd2 0.500 0.168 0.077
```

Largest 10 diffraction maxima, in order of rising 2θ, 2θ from 10° to 90°:
2θ = 18.86°, 4.705 Å, rel. 24, hkl 1 0 0; 2θ = 24.00°, 3.708 Å, rel. 23, hkl 0 3 1; 2θ = 27.94°, 3.193 Å, rel. 23, hkl 0 2 2; 2θ = 30.70°, 2.912 Å, rel. 64, hkl 1 3 1; 2θ = 30.87°, 2.897 Å, rel. 35, hkl 1 0 2; 2θ = 33.73°, 2.657 Å, rel. 49, hkl 1 4 0; 2θ = 33.93°, 2.642 Å, rel. 100, hkl 1 2 2; 2θ = 38.26°, 2.352 Å, rel. 40, hkl 2 0 0; 2θ = 42.47°, 2.129 Å, rel. 16, hkl 0 3 3; 2θ = 66.42°, 1.407 Å, rel. 22, hkl 3 2 2

# TbTmSi2Pd
Theoretical powder XRD pattern, a wavelength of 1.5418 Å. Input: a structure optimized by DFT (GGA-PBE).

```
data_TbTmSi2Pd
_symmetry_space_group_name_H-M 'C 1 2/m 1'
_symmetry_Int_Tables_number 12
_cell_length_a 10.450
_cell_length_b 4.238
_cell_length_c 10.039
_cell_angle_alpha 90.00
_cell_angle_beta 117.74
_cell_angle_gamma 90.00
loop_
_symmetry_equiv_pos_as_xyz
'x,y,z'
'-x,-y,-z'
'-x,y,-z'
'x,-y,z'
'x+1/2,y+1/2,z'
'-x+1/2,-y+1/2,-z'
'-x+1/2,y+1/2,-z'
'x+1/2,-y+1/2,z'
loop_
_atom_site_label
_atom_site_fract_x
_atom_site_fract_y
_atom_site_fract_z
Tb1 0.187 0.000 0.107
Tm1 0.003 0.000 0.325
Si1 0.018 0.500 0.884
Si2 0.132 0.500 0.565
Pd1 0.226 0.500 0.362
```

Largest 10 diffraction maxima, in order of rising 2θ, 2θ from 10° to 90°:
2θ = 23.08°, 3.853 Å, rel. 62, hkl 1 1 0; 2θ = 27.16°, 3.283 Å, rel. 29, hkl 2 0 -3; 2θ = 33.48°, 2.677 Å, rel. 38, hkl 3 1 -1; 2θ = 33.61°, 2.666 Å, rel. 100, hkl 1 1 2; 2θ = 33.97°, 2.639 Å, rel. 75, hkl 3 1 -2; 2θ = 34.42°, 2.606 Å, rel. 79, hkl 4 0 -2; 2θ = 37.40°, 2.405 Å, rel. 61, hkl 3 1 -3; 2θ = 40.62°, 2.221 Å, rel. 29, hkl 0 0 4; 2θ = 41.14°, 2.194 Å, rel. 70, hkl 3 1 1; 2θ = 42.67°, 2.119 Å, rel. 57, hkl 0 2 0